The following is a computed X-ray diffraction stick pattern of MnTl2As2O6. It was derived from DFT lattice parameters and positions (PBE+U), using a wavelength of 1.5418 Å.
Peak positions follow from Bragg's law for the DFT cell and can differ from measured ones.

```
MnTl2As2O6
1.0
4.3039 -2.8437 0.0000
4.3039 2.8437 0.0000
-1.8981 0.0000 7.4305
Mn Tl As O
1 2 2 6
Direct
0.0000 0.0000 0.0000
0.2103 0.2103 0.6530
0.7897 0.7897 0.3470
0.3892 0.3892 0.2083
0.6108 0.6108 0.7917
0.2293 0.2293 0.0124
0.2366 0.7319 0.8135
0.2681 0.7634 0.1865
0.7319 0.2366 0.8135
0.7634 0.2681 0.1865
0.7707 0.7707 0.9876
```

Largest 12 diffraction maxima, in order of falling intensity, 10° ≤ 2θ ≤ 90°:
| 2theta | d/Å | I/Imax |
| --- | --- | --- |
| 28.47 | 3.135 | 100 |
| 35.27 | 2.544 | 65 |
| 26.98 | 3.304 | 57 |
| 31.46 | 2.844 | 42 |
| 20.91 | 4.248 | 40 |
| 41.92 | 2.155 | 34 |
| 38.31 | 2.349 | 20 |
| 32.75 | 2.735 | 19 |
| 23.77 | 3.743 | 19 |
| 21.31 | 4.170 | 17 |
| 43.62 | 2.075 | 17 |
| 57.59 | 1.601 | 16 |